Structure and calculated PXRD pattern of La2MoO6 (a structure optimized by DFT (PBE+U); Cu Ka).
Peak positions follow from Bragg's law for the DFT cell and can differ from measured ones.

Atomic structure:
```
data_La2MoO6
_chemical_formula_sum 'La16 Mo8 O48'
_space_group_name_H-M_alt 'I 41/a c d'
_space_group_IT_number 142
_cell_length_a 5.8322
_cell_length_b 5.8322
_cell_length_c 32.3910
_cell_angle_alpha 90.00
_cell_angle_beta 90.00
_cell_angle_gamma 90.00
loop_
_space_group_symop_operation_xyz
'x,y,z'
'-x,-y,-z'
'-y+1/4,x+3/4,z+1/4'
'y+1/4,-x+3/4,-z+1/4'
'-x+1/2,-y,z+1/2'
'x+1/2,y,-z+1/2'
'y+1/4,-x+1/4,z+3/4'
'-y+1/4,x+1/4,-z+3/4'
'x,-y,-z+1/2'
'-x,y,z+1/2'
'-y+1/4,-x+1/4,-z+1/4'
'y+1/4,x+1/4,z+1/4'
'-x+1/2,y,-z'
'x+1/2,-y,z'
'y+1/4,x+3/4,-z+3/4'
'-y+1/4,-x+3/4,z+3/4'
'x+1/2,y+1/2,z+1/2'
'-x+1/2,-y+1/2,-z+1/2'
'-y+3/4,x+1/4,z+3/4'
'y+3/4,-x+1/4,-z+3/4'
'-x,-y+1/2,z'
'x,y+1/2,-z'
'y+3/4,-x+3/4,z+1/4'
'-y+3/4,x+3/4,-z+1/4'
'x+1/2,-y+1/2,-z'
'-x+1/2,y+1/2,z'
'-y+3/4,-x+3/4,-z+3/4'
'y+3/4,x+3/4,z+3/4'
'-x,y+1/2,-z+1/2'
'x,-y+1/2,z+1/2'
'y+3/4,x+1/4,-z+1/4'
'-y+3/4,-x+1/4,z+1/4'
loop_
_atom_site_label
_atom_site_type_symbol
_atom_site_fract_x
_atom_site_fract_y
_atom_site_fract_z
_atom_site_occupancy
La1 La 0.0000 0.2500 0.0382 1
Mo1 Mo 0.0000 0.2500 0.3750 1
O1 O 0.1681 0.0800 0.3393 1
O2 O 0.2437 0.0000 0.7500 1
```

Main lines, in order of rising 2θ (10° ≤ 2θ ≤ 90°):
Position (°2θ), I_rel, hkl
27.21, 100, 1 1 6
30.66, 24, 2 0 0
43.91, 17, 2 2 0
45.81, 31, 2 0 12
52.43, 30, 3 1 6
55.73, 11, 1 1 18